# 1
Starting from the PBE geometry in Alexandria, the X-ray powder pattern of AcTlCd3 was calculated for a wavelength of 1.5418 Å.

Largest 10 diffraction maxima, in order of falling intensity, 2θ = 5–70°:
2θ 30.3, intensity 100.0
2θ 38.4, intensity 45.5
2θ 33.8, intensity 40.3
2θ 52.1, intensity 23.5
2θ 64.5, intensity 23.5
2θ 23.5, intensity 15.6
2θ 55.4, intensity 15.5
2θ 39.1, intensity 13.4
2θ 46.6, intensity 11.8
2θ 50.8, intensity 11.0

Structural model:
```
AcTlCd3
1.0
12.843 0.000 0.000
0.000 6.631 0.000
0.000 0.000 6.628
Ac Tl Cd
4 4 12
Direct
0.250 0.000 0.003 Ac
0.250 0.500 0.497 Ac
0.750 0.000 0.997 Ac
0.750 0.500 0.503 Ac
0.002 0.250 0.250 Tl
0.498 0.750 0.250 Tl
0.502 0.250 0.750 Tl
0.998 0.750 0.750 Tl
0.002 0.750 0.250 Cd
0.143 0.501 0.996 Cd
0.143 0.999 0.504 Cd
0.357 0.001 0.504 Cd
0.357 0.499 0.996 Cd
0.498 0.250 0.250 Cd
0.502 0.750 0.750 Cd
0.643 0.501 0.004 Cd
0.643 0.999 0.496 Cd
0.857 0.001 0.496 Cd
0.857 0.499 0.004 Cd
0.998 0.250 0.750 Cd
```

=====

# 2
Starting from the PBE geometry in Alexandria, the X-ray powder pattern of La3As2Pd7 was calculated for a wavelength of 1.5418 Å.

Largest 10 diffraction maxima, in order of falling intensity, 2θ = 5–70°:
2θ 36.0, intensity 100.0
2θ 43.1, intensity 73.5
2θ 36.1, intensity 38.8
2θ 40.0, intensity 35.6
2θ 41.8, intensity 30.7
2θ 6.4, intensity 29.3
2θ 30.8, intensity 27.8
2θ 62.6, intensity 23.9
2θ 30.1, intensity 23.5
2θ 57.5, intensity 19.8

Structural model:
```
La3As2Pd7
1.0
-2.098 2.098 13.882
2.098 -2.098 13.882
2.098 2.098 -13.882
La As Pd
3 2 7
Direct
0.000 0.000 0.000 La
0.171 0.171 0.000 La
0.829 0.829 0.000 La
0.370 0.370 0.000 As
0.630 0.630 0.000 As
0.078 0.578 0.500 Pd
0.276 0.276 0.000 Pd
0.422 0.922 0.500 Pd
0.500 0.500 0.000 Pd
0.578 0.078 0.500 Pd
0.724 0.724 0.000 Pd
0.922 0.422 0.500 Pd
```

=====

# 3
Starting from the PBE geometry in Alexandria, the X-ray powder pattern of Dy2Y3Sc4 was calculated for a wavelength of 1.5418 Å.

Largest 10 diffraction maxima, in order of falling intensity, 2θ = 5–70°:
2θ 32.6, intensity 100.0
2θ 32.9, intensity 85.0
2θ 34.3, intensity 68.0
2θ 35.1, intensity 65.4
2θ 34.1, intensity 55.2
2θ 14.7, intensity 44.6
2θ 22.4, intensity 41.3
2θ 30.7, intensity 39.5
2θ 12.7, intensity 37.3
2θ 28.2, intensity 36.1

Structural model:
```
Dy2Y3Sc4
1.0
7.201 -6.032 0.000
7.201 6.032 0.000
-1.537 0.000 6.050
Dy Y Sc
4 6 8
Direct
0.136 0.299 0.122 Dy
0.299 0.136 0.622 Dy
0.701 0.864 0.378 Dy
0.864 0.701 0.878 Dy
0.051 0.949 0.750 Y
0.329 0.471 0.550 Y
0.471 0.329 0.050 Y
0.529 0.671 0.950 Y
0.671 0.529 0.450 Y
0.949 0.051 0.250 Y
0.003 0.371 0.626 Sc
0.203 0.627 0.014 Sc
0.371 0.003 0.126 Sc
0.373 0.797 0.486 Sc
0.627 0.203 0.514 Sc
0.629 0.997 0.874 Sc
0.797 0.373 0.986 Sc
0.997 0.629 0.374 Sc
```

=====

# 4
Starting from the PBE geometry in Alexandria, the X-ray powder pattern of Sc4MnSi7 was calculated for a wavelength of 1.5418 Å.

Largest 10 diffraction maxima, in order of falling intensity, 2θ = 5–70°:
2θ 39.0, intensity 100.0
2θ 47.2, intensity 18.8
2θ 6.3, intensity 17.6
2θ 38.6, intensity 16.2
2θ 49.7, intensity 13.7
2θ 12.7, intensity 8.1
2θ 64.6, intensity 7.7
2θ 62.6, intensity 7.1
2θ 39.8, intensity 4.9
2θ 30.1, intensity 4.6

Structural model:
```
Sc4MnSi7
1.0
3.672 0.000 0.000
0.000 3.849 0.000
0.000 0.000 13.982
Sc Mn Si
4 1 7
Direct
0.000 0.000 0.000 Sc
0.000 0.500 0.484 Sc
0.500 0.000 0.788 Sc
0.500 0.500 0.302 Sc
0.000 0.000 0.292 Mn
0.000 0.000 0.631 Si
0.000 0.500 0.156 Si
0.000 0.500 0.833 Si
0.500 0.000 0.156 Si
0.500 0.000 0.431 Si
0.500 0.500 0.640 Si
0.500 0.500 0.943 Si
```

=====

# 5
Starting from the PBE geometry in Alexandria, the X-ray powder pattern of PmSm2TmP4 was calculated for a wavelength of 1.5418 Å.

Largest 6 diffraction maxima, in order of falling intensity, 2θ = 5–70°:
2θ 31.0, intensity 100.0
2θ 26.8, intensity 84.1
2θ 44.5, intensity 73.2
2θ 52.7, intensity 41.4
2θ 55.2, intensity 25.6
2θ 64.7, intensity 11.9

Structural model:
```
PmSm2TmP4
1.0
7.056 0.000 0.000
0.000 4.078 0.000
-2.352 0.000 6.654
Pm Sm Tm P
1 2 1 4
Direct
0.000 0.000 0.000 Pm
0.000 0.500 0.500 Sm
0.500 0.000 0.500 Sm
0.500 0.500 0.000 Tm
0.254 0.500 0.248 P
0.257 0.000 0.756 P
0.743 0.000 0.244 P
0.746 0.500 0.752 P
```

=====

# 6
Starting from the PBE geometry in Alexandria, the X-ray powder pattern of Be15Ni2Rh2 was calculated for a wavelength of 1.5418 Å.

Largest 10 diffraction maxima, in order of falling intensity, 2θ = 5–70°:
2θ 24.5, intensity 100.0
2θ 50.3, intensity 33.6
2θ 43.2, intensity 30.0
2θ 36.1, intensity 29.9
2θ 51.2, intensity 25.9
2θ 44.2, intensity 22.8
2θ 35.1, intensity 20.2
2θ 68.4, intensity 10.9
2θ 63.5, intensity 10.5
2θ 24.7, intensity 6.4

Structural model:
```
Be15Ni2Rh2
1.0
3.629 2.095 3.610
-3.629 2.095 3.610
0.000 -4.190 3.610
Be Ni Rh
15 2 2
Direct
0.000 0.000 0.500 Be
0.000 0.305 0.695 Be
0.000 0.500 0.000 Be
0.000 0.695 0.305 Be
0.163 0.652 0.652 Be
0.305 0.000 0.695 Be
0.305 0.695 0.000 Be
0.348 0.348 0.837 Be
0.348 0.837 0.348 Be
0.500 0.000 0.000 Be
0.652 0.163 0.652 Be
0.652 0.652 0.163 Be
0.695 0.000 0.305 Be
0.695 0.305 0.000 Be
0.837 0.348 0.348 Be
0.103 0.103 0.103 Ni
0.897 0.897 0.897 Ni
0.350 0.350 0.350 Rh
0.650 0.650 0.650 Rh
```

=====

# 7
Starting from the PBE geometry in Alexandria, the X-ray powder pattern of Cd5TeSe4 was calculated for a wavelength of 1.5418 Å.

Largest 10 diffraction maxima, in order of falling intensity, 2θ = 5–70°:
2θ 23.1, intensity 100.0
2θ 40.6, intensity 89.0
2θ 44.2, intensity 72.4
2θ 26.2, intensity 68.7
2θ 24.5, intensity 52.8
2θ 48.0, intensity 49.8
2θ 34.0, intensity 35.6
2θ 61.6, intensity 26.1
2θ 47.3, intensity 14.4
2θ 69.2, intensity 12.4

Structural model:
```
Cd5TeSe4
1.0
4.442 0.000 0.000
-2.221 3.847 0.000
0.000 0.000 36.288
Cd Te Se
10 2 8
Direct
0.000 0.000 0.000 Cd
0.000 0.000 0.195 Cd
0.000 0.000 0.390 Cd
0.000 0.000 0.585 Cd
0.000 0.000 0.793 Cd
0.333 0.667 0.098 Cd
0.333 0.667 0.293 Cd
0.333 0.667 0.488 Cd
0.333 0.667 0.695 Cd
0.333 0.667 0.903 Cd
0.000 0.000 0.664 Te
0.000 0.000 0.872 Te
0.000 0.000 0.074 Se
0.000 0.000 0.269 Se
0.000 0.000 0.464 Se
0.333 0.667 0.172 Se
0.333 0.667 0.367 Se
0.333 0.667 0.562 Se
0.333 0.667 0.769 Se
0.333 0.667 0.976 Se
```

=====

# 8
Starting from the PBE geometry in Alexandria, the X-ray powder pattern of VCr2Pt5 was calculated for a wavelength of 1.5418 Å.

Largest 10 diffraction maxima, in order of falling intensity, 2θ = 5–70°:
2θ 40.0, intensity 100.0
2θ 40.3, intensity 99.6
2θ 46.6, intensity 64.2
2θ 68.3, intensity 50.9
2θ 46.9, intensity 32.4
2θ 22.8, intensity 24.9
2θ 32.6, intensity 22.7
2θ 67.6, intensity 9.9
2θ 29.1, intensity 7.9
2θ 29.4, intensity 7.3

Structural model:
```
VCr2Pt5
1.0
5.488 0.000 0.000
0.000 11.080 0.000
0.000 0.000 3.872
V Cr Pt
2 4 10
Direct
0.000 0.000 0.000 V
0.500 0.500 0.000 V
0.247 0.374 0.500 Cr
0.253 0.874 0.500 Cr
0.747 0.126 0.500 Cr
0.753 0.626 0.500 Cr
0.000 0.500 0.000 Pt
0.007 0.757 0.000 Pt
0.240 0.118 0.500 Pt
0.260 0.618 0.500 Pt
0.493 0.257 0.000 Pt
0.500 0.000 0.000 Pt
0.507 0.743 0.000 Pt
0.740 0.382 0.500 Pt
0.760 0.882 0.500 Pt
0.993 0.243 0.000 Pt
```